Record 1
Starting from a crystal structure in Alexandria, relaxed with GGA-PBE, the powder diffractogram of Cd9InAu2 was computed for CuKα.
No peak broadening, texture or thermal motion is included.

Principal peaks in the range 2θ = 15–90°, sorted by position:
- hkl 3 2 1, 2θ = 29.20°, intensity 38
- hkl 3 1 2, 2θ = 33.19°, intensity 70
- hkl 4 2 0, 2θ = 33.32°, intensity 47
- hkl 1 0 3, 2θ = 35.94°, intensity 32
- hkl 2 1 3, 2θ = 39.03°, intensity 35
- hkl 5 0 1, 2θ = 39.26°, intensity 100
- hkl 4 2 2, 2θ = 41.00°, intensity 54
- hkl 5 5 2, 2θ = 59.46°, intensity 22
- hkl 7 4 1, 2θ = 63.54°, intensity 17
- hkl 8 4 0, 2θ = 69.96°, intensity 18

Structure:
```
data_Cd9InAu2
_symmetry_space_group_name_H-M 'I 41/a m d'
_symmetry_Int_Tables_number 141
_cell_length_a 12.027
_cell_length_b 12.027
_cell_length_c 7.664
_cell_angle_alpha 90.00
_cell_angle_beta 90.00
_cell_angle_gamma 90.00
loop_
_symmetry_equiv_pos_as_xyz
'x,y,z'
'-x,-y,-z'
'-y+1/4,x+3/4,z+1/4'
'y+1/4,-x+3/4,-z+1/4'
'-x+1/2,-y,z+1/2'
'x+1/2,y,-z+1/2'
'y+1/4,-x+1/4,z+3/4'
'-y+1/4,x+1/4,-z+3/4'
'x,-y,-z'
'-x,y,z'
'-y+1/4,-x+1/4,-z+3/4'
'y+1/4,x+1/4,z+3/4'
'-x+1/2,y,-z+1/2'
'x+1/2,-y,z+1/2'
'y+1/4,x+3/4,-z+1/4'
'-y+1/4,-x+3/4,z+1/4'
'x+1/2,y+1/2,z+1/2'
'-x+1/2,-y+1/2,-z+1/2'
'-y+3/4,x+1/4,z+3/4'
'y+3/4,-x+1/4,-z+3/4'
'-x,-y+1/2,z'
'x,y+1/2,-z'
'y+3/4,-x+3/4,z+1/4'
'-y+3/4,x+3/4,-z+1/4'
'x+1/2,-y+1/2,-z+1/2'
'-x+1/2,y+1/2,z+1/2'
'-y+3/4,-x+3/4,-z+1/4'
'y+3/4,x+3/4,z+1/4'
'-x,y+1/2,-z'
'x,-y+1/2,z'
'y+3/4,x+1/4,-z+3/4'
'-y+3/4,-x+1/4,z+3/4'
loop_
_atom_site_label
_atom_site_fract_x
_atom_site_fract_y
_atom_site_fract_z
_atom_site_occupancy
Cd1 0.000 0.250 0.375 1
Cd2 0.121 0.050 0.176 1
In1 0.000 0.250 0.875 1
Au1 0.000 0.000 0.500 1
```



Record 2
Starting from a crystal structure in Alexandria, relaxed with GGA-PBE, the powder diffractogram of Cd4In3Au4 was computed for CuKα.
No peak broadening, texture or thermal motion is included.

Principal peaks in the range 2θ = 15–90°, sorted by position:
- hkl 0 2 2, 2θ = 23.47°, intensity 26
- hkl 1 2 1, 2θ = 33.13°, intensity 100
- hkl 1 1 4, 2θ = 35.06°, intensity 74
- hkl 0 3 3, 2θ = 35.53°, intensity 46
- hkl 1 0 5, 2θ = 37.41°, intensity 49
- hkl 0 2 6, 2θ = 39.33°, intensity 55
- hkl 1 3 2, 2θ = 42.02°, intensity 41
- hkl 2 0 0, 2θ = 51.21°, intensity 27
- hkl 1 2 7, 2θ = 51.56°, intensity 25
- hkl 2 2 6, 2θ = 66.44°, intensity 27

Structure:
```
data_Cd4In3Au4
_symmetry_space_group_name_H-M 'I m m m'
_symmetry_Int_Tables_number 71
_symmetry_space_group_name_Hall '-I 2 2'
_cell_length_a 3.568
_cell_length_b 8.568
_cell_length_c 16.264
_cell_angle_alpha 90.00
_cell_angle_beta 90.00
_cell_angle_gamma 90.00
loop_
_atom_site_label
_atom_site_fract_x
_atom_site_fract_y
_atom_site_fract_z
_atom_site_occupancy
Cd1 0.000 0.184 0.168 1
In1 0.000 0.000 0.407 1
In2 0.000 0.500 0.500 1
Au1 0.000 0.271 0.000 1
Au2 0.000 0.500 0.232 1
```